For Zr6NiSn2, a structure optimized by DFT (GGA-PBE) gives the computed powder X-ray diffraction pattern in this record (copper Kα).

Largest 10 diffraction maxima, sorted by position, 5 to 70 degrees two-theta:
- 33.7 deg, rel. 100
- 34.3 deg, rel. 63
- 36.2 deg, rel. 78
- 39.1 deg, rel. 51
- 42.9 deg, rel. 42
- 51.3 deg, rel. 20
- 63.2 deg, rel. 21
- 64.2 deg, rel. 33
- 66.3 deg, rel. 21
- 67.4 deg, rel. 18

Structure:
Lattice parameters (Å, degrees): 7.990 7.990 3.563 90.00 90.00 120.00
Atoms (fractional coordinates):
Zr 0.000 0.245 0.000
Zr 0.000 0.602 0.500
Zr 0.245 0.000 0.000
Zr 0.398 0.398 0.500
Zr 0.602 0.000 0.500
Zr 0.755 0.755 0.000
Ni 0.000 0.000 0.500
Sn 0.333 0.667 0.000
Sn 0.667 0.333 0.000